For Ta2Pd3Ru3, a DFT-relaxed cell (PBE, the Materials Project) gives the computed powder X-ray diffraction pattern in this record (Cu Ka).
No peak broadening, texture or thermal motion is included.

Principal peaks in the range 2θ from 10° to 90°, by intensity:
Position (°2θ)  I_rel  (hkl)
39.75  100  1 1 2
44.94  18  0 2 0
46.24  16  2 0 0
47.46  15  0 0 4
79.37  13  1 3 2
81.25  12  3 1 2

a b c (Å): 3.926 4.034 7.663
angles (deg): 90.00 90.00 90.00
Space group Pmmm (No. 47)
One atom of each set of equivalent atoms:
Ta 0.000 0.000 0.244
Pd 0.000 0.500 0.500
Pd 0.500 0.500 0.249
Ru 0.000 0.500 0.000
Ru 0.500 0.000 0.000
Ru 0.500 0.000 0.500


For Y2PdRu, a DFT-relaxed cell (PBE, the Materials Project) gives the computed powder X-ray diffraction pattern in this record (Cu Ka).
No peak broadening, texture or thermal motion is included.

Principal peaks in the range 2θ from 10° to 90°, by intensity:
Position (°2θ)  I_rel  (hkl)
36.68  100  2 2 0
66.05  34  4 2 2
52.84  17  4 0 0
89.43  15  6 2 0
77.99  10  4 4 0
25.71  1  2 0 0

a b c (Å): 6.930 6.930 6.930
angles (deg): 90.00 90.00 90.00
Space group Fm-3m (No. 225)
One atom of each set of equivalent atoms:
Y 0.250 0.250 0.250
Pd 0.000 0.000 0.000
Ru 0.000 0.000 0.500


For Pd16S7, a DFT-relaxed cell (PBE, the Materials Project) gives the computed powder X-ray diffraction pattern in this record (Cu Ka).
No peak broadening, texture or thermal motion is included.

Principal peaks in the range 2θ from 10° to 90°, by intensity:
Position (°2θ)  I_rel  (hkl)
37.12  100  3 2 1
42.31  44  3 3 0
39.78  26  4 0 0
24.05  26  2 1 1
63.25  19  6 1 1
77.37  19  7 2 1

a b c (Å): 9.063 9.063 9.063
angles (deg): 90.00 90.00 90.00
Space group I-43m (No. 217)
One atom of each set of equivalent atoms:
Pd 0.083 0.331 0.331
Pd 0.115 0.115 0.885
S 0.000 0.000 0.500
S 0.156 0.156 0.156


For Pd4S, a DFT-relaxed cell (PBE, the Materials Project) gives the computed powder X-ray diffraction pattern in this record (Cu Ka).
No peak broadening, texture or thermal motion is included.

Principal peaks in the range 2θ from 10° to 90°, by intensity:
Position (°2θ)  I_rel  (hkl)
40.19  100  1 1 2
38.74  66  2 1 0
42.02  52  2 1 1
34.52  42  2 0 0
36.11  27  1 0 2
50.81  24  2 1 2

a b c (Å): 5.197 5.197 5.666
angles (deg): 90.00 90.00 90.00
Space group P-42_1c (No. 114)
One atom of each set of equivalent atoms:
Pd 0.147 0.268 0.157
S 0.000 0.000 0.500